Entry 1:
Computed PXRD pattern
Compound: Cs2NaCeF6
Radiation: copper Kα
Structure: a DFT-relaxed cell (GGA-PBE, the Materials Project)
Peak positions follow from Bragg's law for the DFT cell and can differ from measured ones.

Peak list (12 most intense, 10° ≤ 2θ ≤ 90°, in order of rising 2θ)
| d_spacing | 2θ/deg | intensity |
| --- | --- | --- |
| 5.417 | 16.4 | 21 |
| 3.317 | 26.9 | 100 |
| 2.829 | 31.6 | 12 |
| 2.708 | 33.1 | 12 |
| 2.346 | 38.4 | 38 |
| 2.152 | 42.0 | 5 |
| 1.915 | 47.5 | 42 |
| 1.659 | 55.4 | 25 |
| 1.483 | 62.6 | 19 |
| 1.354 | 69.4 | 8 |
| 1.254 | 75.9 | 22 |
| 1.106 | 88.4 | 12 |

Cell and atoms:
Unit cell a=6.6344 b=6.6344 c=6.6344 alpha=60.00 beta=60.00 gamma=60.00
Fractional positions:
Cs1 0.2500 0.2500 0.2500
Cs2 0.7500 0.7500 0.7500
Na1 0.0000 0.0000 0.0000
Ce1 0.5000 0.5000 0.5000
F1 0.2543 0.2543 0.7457
F2 0.2543 0.7457 0.2543
F3 0.2543 0.7457 0.7457
F4 0.7457 0.2543 0.2543
F5 0.7457 0.2543 0.7457
F6 0.7457 0.7457 0.2543

***

Entry 2:
Computed PXRD pattern
Compound: Cs2NaCeI6
Radiation: copper Kα
Structure: a DFT-relaxed cell (GGA-PBE, the Materials Project)
Peak positions follow from Bragg's law for the DFT cell and can differ from measured ones.

Peak list (12 most intense, 10° ≤ 2θ ≤ 90°, in order of rising 2θ)
| d_spacing | 2θ/deg | intensity |
| --- | --- | --- |
| 7.262 | 12.2 | 10 |
| 4.447 | 20.0 | 10 |
| 3.631 | 24.5 | 100 |
| 3.145 | 28.4 | 99 |
| 2.224 | 40.6 | 75 |
| 1.896 | 48.0 | 47 |
| 1.816 | 50.3 | 27 |
| 1.572 | 58.7 | 12 |
| 1.443 | 64.6 | 19 |
| 1.406 | 66.5 | 34 |
| 1.284 | 73.8 | 25 |
| 1.210 | 79.1 | 15 |

Cell and atoms:
Unit cell a=8.8946 b=8.8946 c=8.8946 alpha=60.00 beta=60.00 gamma=60.00
Fractional positions:
Cs1 0.2500 0.2500 0.2500
Cs2 0.7500 0.7500 0.7500
Na1 0.0000 0.0000 0.0000
Ce1 0.5000 0.5000 0.5000
I1 0.2514 0.2514 0.7486
I2 0.2514 0.7486 0.2514
I3 0.2514 0.7486 0.7486
I4 0.7486 0.2514 0.2514
I5 0.7486 0.2514 0.7486
I6 0.7486 0.7486 0.2514

***

Entry 3:
Computed PXRD pattern
Compound: Cs2Ce10Os2I17
Radiation: copper Kα
Structure: a DFT-relaxed cell (GGA-PBE, the Materials Project)
Peak positions follow from Bragg's law for the DFT cell and can differ from measured ones.

Peak list (12 most intense, 10° ≤ 2θ ≤ 90°, in order of rising 2θ)
| d_spacing | 2θ/deg | intensity |
| --- | --- | --- |
| 3.652 | 24.4 | 20 |
| 3.557 | 25.0 | 18 |
| 3.133 | 28.5 | 100 |
| 3.098 | 28.8 | 48 |
| 2.247 | 40.1 | 18 |
| 2.215 | 40.7 | 35 |
| 2.203 | 41.0 | 34 |
| 2.161 | 41.8 | 17 |
| 1.826 | 50.0 | 17 |
| 1.779 | 51.4 | 17 |
| 1.566 | 59.0 | 10 |
| 1.401 | 66.8 | 14 |

Cell and atoms:
Unit cell a=11.6511 b=11.6511 c=9.9296 alpha=93.61 beta=93.61 gamma=107.57
Fractional positions:
Cs1 0.1743 0.8257 0.0000
Cs2 0.8257 0.1743 0.0000
Ce1 0.1691 0.1691 0.4430
Ce2 0.2093 0.5063 0.5723
Ce3 0.2930 0.2930 0.8197
Ce4 0.4368 0.4368 0.3203
Ce5 0.4937 0.7907 0.4277
Ce6 0.5063 0.2093 0.5723
Ce7 0.5632 0.5632 0.6797
Ce8 0.7070 0.7070 0.1803
Ce9 0.7907 0.4937 0.4277
Ce10 0.8309 0.8309 0.5570
Os1 0.3589 0.3589 0.5705
Os2 0.6411 0.6411 0.4295
I1 0.0295 0.6901 0.5799
I2 0.0621 0.0621 0.7188
I3 0.1141 0.4506 0.8621
I4 0.2111 0.2111 0.1306
I5 0.2527 0.5996 0.2742
I6 0.3099 0.9705 0.4201
I7 0.4004 0.7473 0.7258
I8 0.4506 0.1141 0.8621
I9 0.5000 0.5000 0.0000
I10 0.5494 0.8859 0.1379
I11 0.5996 0.2527 0.2742
I12 0.6901 0.0295 0.5799
I13 0.7473 0.4004 0.7258
I14 0.7889 0.7889 0.8694
I15 0.8859 0.5494 0.1379
I16 0.9379 0.9379 0.2812
I17 0.9705 0.3099 0.4201

***

Entry 4:
Computed PXRD pattern
Compound: CsCeMg14
Radiation: copper Kα
Structure: a DFT-relaxed cell (GGA-PBE, the Materials Project)
Peak positions follow from Bragg's law for the DFT cell and can differ from measured ones.

Peak list (12 most intense, 10° ≤ 2θ ≤ 90°, in order of rising 2θ)
| d_spacing | 2θ/deg | intensity |
| --- | --- | --- |
| 5.728 | 15.5 | 54 |
| 5.201 | 17.0 | 16 |
| 3.851 | 23.1 | 52 |
| 3.307 | 27.0 | 16 |
| 2.864 | 31.2 | 32 |
| 2.791 | 32.1 | 20 |
| 2.600 | 34.5 | 24 |
| 2.509 | 35.8 | 100 |
| 1.925 | 47.2 | 20 |
| 1.654 | 55.6 | 17 |
| 1.483 | 62.6 | 18 |
| 1.395 | 67.1 | 19 |

Cell and atoms:
Unit cell a=6.6145 b=6.6145 c=10.4018 alpha=90.00 beta=90.00 gamma=120.00
Fractional positions:
Cs1 0.0000 0.0000 0.0000
Ce1 0.0000 0.0000 0.5000
Mg1 0.0042 0.5021 0.5000
Mg2 0.0055 0.5028 0.0000
Mg3 0.1763 0.3527 0.2594
Mg4 0.1763 0.3527 0.7406
Mg5 0.1763 0.8237 0.2594
Mg6 0.1763 0.8237 0.7406
Mg7 0.4972 0.5028 0.0000
Mg8 0.4972 0.9945 0.0000
Mg9 0.4979 0.5021 0.5000
Mg10 0.4979 0.9958 0.5000
Mg11 0.6473 0.8237 0.2594
Mg12 0.6473 0.8237 0.7406
Mg13 0.6667 0.3333 0.2527
Mg14 0.6667 0.3333 0.7473

***

Entry 5:
Computed PXRD pattern
Compound: CsCeMg14
Radiation: copper Kα
Structure: a DFT-relaxed cell (GGA-PBE, the Materials Project)
Peak positions follow from Bragg's law for the DFT cell and can differ from measured ones.

Peak list (12 most intense, 10° ≤ 2θ ≤ 90°, in order of rising 2θ)
| d_spacing | 2θ/deg | intensity |
| --- | --- | --- |
| 6.034 | 14.7 | 32 |
| 5.431 | 16.3 | 29 |
| 5.275 | 16.8 | 50 |
| 4.037 | 22.0 | 31 |
| 3.021 | 29.6 | 33 |
| 2.794 | 32.0 | 32 |
| 2.716 | 33.0 | 40 |
| 2.706 | 33.1 | 21 |
| 2.638 | 34.0 | 61 |
| 2.484 | 36.2 | 100 |
| 1.947 | 46.6 | 22 |
| 1.438 | 64.8 | 21 |

Cell and atoms:
Unit cell a=10.8625 b=6.8078 c=6.8078 alpha=55.16 beta=90.00 gamma=90.00
Fractional positions:
Cs1 0.0000 0.0000 0.0000
Ce1 0.0000 0.4927 0.4927
Mg1 0.0000 0.4966 0.9953
Mg2 0.0000 0.9953 0.4966
Mg3 0.2477 0.6612 0.6612
Mg4 0.2647 0.1702 0.1702
Mg5 0.2699 0.1627 0.6514
Mg6 0.2699 0.6514 0.1627
Mg7 0.5000 0.4986 0.9931
Mg8 0.5000 0.5014 0.5014
Mg9 0.5000 0.9931 0.4986
Mg10 0.5000 0.9984 0.9984
Mg11 0.7301 0.1627 0.6514
Mg12 0.7301 0.6514 0.1627
Mg13 0.7353 0.1702 0.1702
Mg14 0.7523 0.6612 0.6612

***

Entry 6:
Computed PXRD pattern
Compound: CsCeMg6O8
Radiation: copper Kα
Structure: a DFT-relaxed cell (GGA-PBE, the Materials Project)
Peak positions follow from Bragg's law for the DFT cell and can differ from measured ones.

Peak list (12 most intense, 10° ≤ 2θ ≤ 90°, in order of rising 2θ)
| d_spacing | 2θ/deg | intensity |
| --- | --- | --- |
| 4.596 | 19.3 | 46 |
| 3.415 | 26.1 | 39 |
| 3.202 | 27.9 | 70 |
| 3.064 | 29.1 | 30 |
| 2.741 | 32.7 | 76 |
| 2.415 | 37.2 | 100 |
| 2.298 | 39.2 | 36 |
| 1.897 | 48.0 | 29 |
| 1.708 | 53.7 | 32 |
| 1.665 | 55.2 | 49 |
| 1.449 | 64.3 | 26 |
| 1.371 | 68.4 | 24 |

Cell and atoms:
Unit cell a=4.8301 b=4.8301 c=9.1925 alpha=90.00 beta=90.00 gamma=90.00
Fractional positions:
Cs1 0.0000 0.0000 0.0000
Ce1 0.5000 0.5000 0.0000
Mg1 0.0000 0.0000 0.5000
Mg2 0.0000 0.5000 0.2808
Mg3 0.0000 0.5000 0.7192
Mg4 0.5000 0.0000 0.2808
Mg5 0.5000 0.0000 0.7192
Mg6 0.5000 0.5000 0.5000
O1 0.0000 0.0000 0.2921
O2 0.0000 0.0000 0.7079
O3 0.0000 0.5000 0.0000
O4 0.0000 0.5000 0.5000
O5 0.5000 0.0000 0.0000
O6 0.5000 0.0000 0.5000
O7 0.5000 0.5000 0.2683
O8 0.5000 0.5000 0.7317

***

Entry 7:
Computed PXRD pattern
Compound: Cs2CeO3
Radiation: copper Kα
Structure: a DFT-relaxed cell (GGA-PBE, the Materials Project)
Peak positions follow from Bragg's law for the DFT cell and can differ from measured ones.

Peak list (12 most intense, 10° ≤ 2θ ≤ 90°, in order of rising 2θ)
| d_spacing | 2θ/deg | intensity |
| --- | --- | --- |
| 3.654 | 24.4 | 29 |
| 3.612 | 24.6 | 24 |
| 3.448 | 25.8 | 57 |
| 3.321 | 26.8 | 100 |
| 3.138 | 28.4 | 27 |
| 3.025 | 29.5 | 10 |
| 2.676 | 33.5 | 12 |
| 2.508 | 35.8 | 26 |
| 2.114 | 42.8 | 11 |
| 1.965 | 46.2 | 32 |
| 1.707 | 53.7 | 14 |
| 1.296 | 73.0 | 11 |

Cell and atoms:
Unit cell a=6.8964 b=14.6178 c=7.4830 alpha=90.00 beta=117.35 gamma=90.00
Fractional positions:
Cs1 0.1243 0.0000 0.2445
Cs2 0.1945 0.5498 0.3897
Cs3 0.3066 0.2809 0.6051
Cs4 0.3701 0.8343 0.7508
Cs5 0.6299 0.3343 0.2492
Cs6 0.6934 0.7809 0.3949
Cs7 0.8055 0.0498 0.6103
Cs8 0.8757 0.5000 0.7555
Ce1 0.0105 0.7581 0.0216
Ce2 0.4900 0.0772 0.9772
Ce3 0.5100 0.5772 0.0228
Ce4 0.9895 0.2581 0.9784
O1 0.0920 0.3628 0.1841
O2 0.1658 0.7857 0.3219
O3 0.2252 0.6683 0.9526
O4 0.2691 0.1678 0.0375
O5 0.3467 0.0484 0.6796
O6 0.4103 0.4726 0.8177
O7 0.5897 0.9726 0.1823
O8 0.6533 0.5484 0.3204
O9 0.7309 0.6678 0.9625
O10 0.7748 0.1683 0.0474
O11 0.8342 0.2857 0.6781
O12 0.9080 0.8628 0.8159

***

Entry 8:
Computed PXRD pattern
Compound: Cs2CeO3
Radiation: copper Kα
Structure: a DFT-relaxed cell (GGA-PBE, the Materials Project)
Peak positions follow from Bragg's law for the DFT cell and can differ from measured ones.

Peak list (12 most intense, 10° ≤ 2θ ≤ 90°, in order of rising 2θ)
| d_spacing | 2θ/deg | intensity |
| --- | --- | --- |
| 3.482 | 25.6 | 50 |
| 3.359 | 26.5 | 100 |
| 3.273 | 27.2 | 49 |
| 3.074 | 29.0 | 100 |
| 2.385 | 37.7 | 50 |
| 2.166 | 41.7 | 15 |
| 2.057 | 44.0 | 25 |
| 1.905 | 47.7 | 24 |
| 1.849 | 49.3 | 22 |
| 1.681 | 54.6 | 42 |
| 1.671 | 54.9 | 17 |
| 1.361 | 69.0 | 14 |

Cell and atoms:
Unit cell a=7.0226 b=7.0226 c=6.5455 alpha=90.00 beta=90.00 gamma=67.74
Fractional positions:
Cs1 0.0232 0.3066 0.0000
Cs2 0.3066 0.0232 0.5000
Cs3 0.6934 0.9768 0.0000
Cs4 0.9768 0.6934 0.5000
Ce1 0.4081 0.5919 0.9823
Ce2 0.5919 0.4081 0.4823
O1 0.1488 0.8512 0.9378
O2 0.3698 0.3902 0.2401
O3 0.3902 0.3698 0.7401
O4 0.6098 0.6302 0.2401
O5 0.6302 0.6098 0.7401
O6 0.8512 0.1488 0.4378

***

Entry 9:
Computed PXRD pattern
Compound: Cs2CeO3
Radiation: copper Kα
Structure: a DFT-relaxed cell (GGA-PBE, the Materials Project)
Peak positions follow from Bragg's law for the DFT cell and can differ from measured ones.

Peak list (12 most intense, 10° ≤ 2θ ≤ 90°, in order of rising 2θ)
| d_spacing | 2θ/deg | intensity |
| --- | --- | --- |
| 3.812 | 23.3 | 9 |
| 3.654 | 24.4 | 28 |
| 3.612 | 24.6 | 23 |
| 3.448 | 25.8 | 56 |
| 3.321 | 26.8 | 100 |
| 3.138 | 28.4 | 28 |
| 3.025 | 29.5 | 10 |
| 2.676 | 33.5 | 12 |
| 2.508 | 35.8 | 26 |
| 2.114 | 42.8 | 10 |
| 1.965 | 46.2 | 32 |
| 1.707 | 53.7 | 14 |

Cell and atoms:
Unit cell a=6.8964 b=7.4830 c=14.6178 alpha=90.04 beta=90.03 gamma=117.35
Fractional positions:
Cs1 0.0000 0.0000 0.0000
Cs2 0.0639 0.1418 0.4494
Cs3 0.1755 0.3611 0.7154
Cs4 0.2479 0.5039 0.1671
Cs5 0.4943 0.9953 0.6657
Cs6 0.5671 0.1428 0.2150
Cs7 0.6766 0.3558 0.9465
Cs8 0.7445 0.5014 0.5013
Ce1 0.3596 0.7292 0.9238
Ce2 0.3806 0.7724 0.4228
Ce3 0.8619 0.7304 0.7439
Ce4 0.8801 0.7735 0.2428
O1 0.0270 0.0748 0.2159
O2 0.1025 0.7114 0.3310
O3 0.1449 0.7981 0.8339
O4 0.2042 0.4289 0.9514
O5 0.2817 0.5736 0.5298
O6 0.4621 0.9349 0.0284
O7 0.5303 0.0730 0.4508
O8 0.5980 0.7055 0.3338
O9 0.6392 0.7883 0.8334
O10 0.7167 0.4304 0.7141
O11 0.7844 0.5758 0.1358
O12 0.9598 0.9331 0.6383

***

Entry 10:
Computed PXRD pattern
Compound: Cs2CeO3
Radiation: copper Kα
Structure: a DFT-relaxed cell (GGA-PBE, the Materials Project)
Peak positions follow from Bragg's law for the DFT cell and can differ from measured ones.

Peak list (12 most intense, 10° ≤ 2θ ≤ 90°, in order of rising 2θ)
| d_spacing | 2θ/deg | intensity |
| --- | --- | --- |
| 3.665 | 24.3 | 28 |
| 3.616 | 24.6 | 25 |
| 3.454 | 25.8 | 58 |
| 3.325 | 26.8 | 100 |
| 3.146 | 28.4 | 29 |
| 2.683 | 33.4 | 13 |
| 2.514 | 35.7 | 26 |
| 2.119 | 42.7 | 13 |
| 1.969 | 46.1 | 32 |
| 1.711 | 53.6 | 14 |
| 1.438 | 64.8 | 11 |
| 1.298 | 72.9 | 11 |

Cell and atoms:
Unit cell a=7.4930 b=7.4930 c=14.6609 alpha=90.00 beta=90.00 gamma=125.10
Fractional positions:
Cs1 0.1205 0.8795 0.5000
Cs2 0.1941 0.8059 0.0523
Cs3 0.3020 0.6980 0.7818
Cs4 0.3758 0.6242 0.3378
Cs5 0.6242 0.3758 0.8378
Cs6 0.6980 0.3020 0.2818
Cs7 0.8059 0.1941 0.5523
Cs8 0.8795 0.1205 0.0000
Ce1 0.0104 0.9896 0.2599
Ce2 0.4877 0.5123 0.5799
Ce3 0.5123 0.4877 0.0799
Ce4 0.9896 0.0104 0.7599
O1 0.0927 0.9073 0.8636
O2 0.1607 0.8393 0.2867
O3 0.2255 0.2732 0.1707
O4 0.2732 0.2255 0.6707
O5 0.3401 0.6599 0.5514
O6 0.4087 0.5913 0.9762
O7 0.5913 0.4087 0.4762
O8 0.6599 0.3401 0.0514
O9 0.7268 0.7745 0.1707
O10 0.7745 0.7268 0.6707
O11 0.8393 0.1607 0.7867
O12 0.9073 0.0927 0.3636

***

Entry 11:
Computed PXRD pattern
Compound: CeCu2
Radiation: copper Kα
Structure: a DFT-relaxed cell (GGA-PBE, the Materials Project)
Peak positions follow from Bragg's law for the DFT cell and can differ from measured ones.

Peak list (12 most intense, 10° ≤ 2θ ≤ 90°, in order of rising 2θ)
| d_spacing | 2θ/deg | intensity |
| --- | --- | --- |
| 3.797 | 23.4 | 17 |
| 2.628 | 34.1 | 13 |
| 2.500 | 35.9 | 100 |
| 2.492 | 36.0 | 47 |
| 2.198 | 41.1 | 33 |
| 2.181 | 41.4 | 58 |
| 1.661 | 55.3 | 10 |
| 1.648 | 55.8 | 26 |
| 1.639 | 56.1 | 11 |
| 1.325 | 71.2 | 9 |
| 1.321 | 71.4 | 27 |
| 1.314 | 71.9 | 10 |

Cell and atoms:
Unit cell a=5.4826 b=5.4826 c=5.4826 alpha=132.73 beta=105.43 gamma=93.18
Fractional positions:
Ce1 0.2742 0.0242 0.2500
Ce2 0.7258 0.9758 0.7500
Cu1 0.1309 0.6661 0.4648
Cu2 0.2988 0.3339 0.9648
Cu3 0.7012 0.6661 0.0352
Cu4 0.8691 0.3339 0.5352